# Ag6As7
Calculated powder X-ray diffraction pattern, copper Kα. Input: the PBE geometry in Alexandria.
Kinematic intensities with the Lorentz-polarization factor, no thermal factor.

Main lines, in order of rising 2θ (10 to 90 degrees two-theta):
| 2θ (°) | I_rel |
| --- | --- |
| 30.48 | 100 |
| 31.37 | 32 |
| 35.50 | 51 |
| 36.34 | 79 |
| 39.05 | 49 |
| 39.21 | 56 |
| 42.35 | 61 |
| 44.31 | 43 |
| 63.44 | 47 |
| 77.18 | 43 |

Cell and atoms:
```
13
Lattice="2.933 1.693 9.190 -2.933 1.693 9.190 0.000 -3.386 9.190" Properties=species:S:1:pos:R:3 pbc="T T T"
Ag 0.000 0.000 1.937
Ag 0.000 0.000 4.733
Ag 0.000 0.000 9.134
Ag 0.000 0.000 18.435
Ag 0.000 0.000 22.836
Ag 0.000 0.000 25.632
As -1.424 -0.822 11.467
As 0.000 -1.644 16.102
As -1.424 0.822 16.102
As 0.000 0.000 13.784
As 1.424 -0.822 11.467
As 0.000 1.644 11.467
As 1.424 0.822 16.102
```